No. 1
# TmSeS
Computed powder diffractogram, Cu Kα (λ = 1.5418 Å). Input: a crystal structure in Alexandria, relaxed with PBE.

Crystal structure
```
data_TmSeS
_chemical_formula_sum 'Tm4 Se4 S4'
_cell_length_a 3.890
_cell_length_b 5.286
_cell_length_c 13.178
_cell_angle_alpha 90.00
_cell_angle_beta 90.00
_cell_angle_gamma 90.00
_space_group_name_H-M_alt 'P 1'
_space_group_IT_number 1
loop_
_space_group_symop_operation_xyz
'x,y,z'
loop_
_atom_site_label
_atom_site_fract_x
_atom_site_fract_y
_atom_site_fract_z
Tm1 0.000 0.000 0.152
Tm2 0.000 0.000 0.848
Tm3 0.500 0.500 0.348
Tm4 0.500 0.500 0.652
Se1 0.000 0.249 0.500
Se2 0.000 0.751 0.500
Se3 0.500 0.251 0.000
Se4 0.500 0.749 0.000
S1 0.000 0.500 0.213
S2 0.000 0.500 0.787
S3 0.500 0.000 0.287
S4 0.500 0.000 0.713
```

Peak list (6 most intense, 2θ from 10° to 80°, sorted by position)
h k l  2theta  I/Imax
0 1 1  18.08  40
0 1 3  26.38  41
1 1 0  28.49  31
1 0 3  30.70  100
1 1 4  39.70  32
1 2 1  41.89  42

---

No. 2
# Ac4ErCd3
Computed powder diffractogram, Cu Kα (λ = 1.5418 Å). Input: a crystal structure in Alexandria, relaxed with PBE.

Crystal structure
```
data_Ac4ErCd3
_chemical_formula_sum 'Ac4 Er1 Cd3'
_cell_length_a 4.002
_cell_length_b 5.872
_cell_length_c 11.814
_cell_angle_alpha 90.00
_cell_angle_beta 90.00
_cell_angle_gamma 90.00
_space_group_name_H-M_alt 'P 1'
_space_group_IT_number 1
loop_
_space_group_symop_operation_xyz
'x,y,z'
loop_
_atom_site_label
_atom_site_fract_x
_atom_site_fract_y
_atom_site_fract_z
Ac1 0.000 0.000 0.000
Ac2 0.000 0.000 0.500
Ac3 0.000 0.500 0.242
Ac4 0.000 0.500 0.758
Er1 0.500 0.500 0.500
Cd1 0.500 0.000 0.257
Cd2 0.500 0.000 0.743
Cd3 0.500 0.500 0.000
```

Peak list (6 most intense, 2θ from 10° to 80°, sorted by position)
h k l  2theta  I/Imax
0 0 4  30.26  26
0 2 0  30.44  26
1 1 2  30.99  100
0 2 4  43.46  20
1 1 6  54.21  20
1 3 2  54.44  21